# V5O9
Simulated powder diffraction line list, Cu Kα, 1.54184 Å. Input: DFT lattice parameters and positions (PBE+U).

Peak list (10 most intense, 2θ from 5° to 70°, by intensity)
2θ/deg	Rel. int.	index
30.74	100	1 0 -2
26.39	82	1 2 1
29.00	75	1 2 2
54.95	62	1 4 0
34.03	54	2 0 1
35.23	50	1 0 3
22.01	49	1 0 -1
55.96	40	2 4 3
36.14	39	1 -2 0
32.65	36	0 2 -1

Structural model:
```
data_V5O9
_chemical_formula_sum 'V10 O18'
_space_group_name_H-M_alt 'P 1'
_space_group_IT_number 1
_cell_length_a 5.628
_cell_length_b 7.108
_cell_length_c 8.537
_cell_angle_alpha 70.30
_cell_angle_beta 74.24
_cell_angle_gamma 71.23
loop_
_space_group_symop_operation_xyz
'x,y,z'
loop_
_atom_site_label
_atom_site_type_symbol
_atom_site_fract_x
_atom_site_fract_y
_atom_site_fract_z
V1 V 0.000 0.000 0.000
V2 V 0.005 0.492 0.010
V3 V 0.274 0.173 0.579
V4 V 0.287 0.670 0.586
V5 V 0.552 0.857 0.160
V6 V 0.557 0.354 0.159
V7 V 0.619 0.344 0.781
V8 V 0.644 0.824 0.795
V9 V 0.921 0.019 0.383
V10 V 0.932 0.530 0.376
O1 O 0.005 0.678 0.787
O2 O 0.023 0.713 0.442
O3 O 0.187 0.977 0.500
O4 O 0.217 0.972 0.163
O5 O 0.253 0.984 0.827
O6 O 0.287 0.365 0.346
O7 O 0.335 0.378 0.997
O8 O 0.377 0.356 0.664
O9 O 0.549 0.633 0.725
O10 O 0.571 0.666 0.379
O11 O 0.597 0.644 0.046
O12 O 0.656 0.022 0.554
O13 O 0.692 0.027 0.908
O14 O 0.704 0.040 0.214
O15 O 0.860 0.308 0.948
O16 O 0.874 0.329 0.260
O17 O 0.903 0.332 0.597
O18 O 0.964 0.710 0.122
```